[1]
Starting from the PBE geometry in the Materials Project, the X-ray powder pattern of Rb12LiCl4O4 was simulated for Cu Kα X-rays.
Peak positions follow from Bragg's law for the DFT cell and can differ from measured ones.

The 10 most intense peaks (10 to 90 degrees two-theta), sorted by position:
- 25.7 deg, intensity 44
- 26.7 deg, intensity 100
- 27.0 deg, intensity 78
- 27.3 deg, intensity 34
- 28.0 deg, intensity 60
- 28.7 deg, intensity 49
- 31.1 deg, intensity 78
- 32.0 deg, intensity 29
- 32.8 deg, intensity 38
- 43.3 deg, intensity 21

```
21
Lattice="7.722 0.000 0.000 -0.213 8.355 0.000 -0.283 -0.147 10.929" Properties=species:S:1:pos:R:3 pbc="T T T"
Rb 0.000 0.000 0.000
Rb -0.100 0.170 5.969
Rb 0.261 4.963 10.456
Rb 0.548 4.473 6.413
Rb 1.589 6.569 3.100
Rb 2.643 7.498 8.429
Rb 3.910 1.019 5.152
Rb 4.171 0.778 0.903
Rb 4.261 5.236 0.504
Rb 4.397 5.182 5.535
Rb 5.632 2.703 8.604
Rb 6.767 2.900 3.111
Li 1.187 2.609 0.580
Cl 2.483 3.160 2.559
Cl 2.399 2.592 9.576
Cl 5.788 6.313 8.524
Cl 5.920 7.112 2.864
O 2.074 6.900 5.803
O 2.269 7.094 0.300
O 6.117 2.655 5.853
O 7.128 2.626 0.359
```

---

[2]
Starting from the PBE geometry in the Materials Project, the X-ray powder pattern of Rb12LiCl4O4 was simulated for Cu Kα X-rays.
Peak positions follow from Bragg's law for the DFT cell and can differ from measured ones.

The 10 most intense peaks (10 to 90 degrees two-theta), sorted by position:
- 25.8 deg, intensity 24
- 26.5 deg, intensity 27
- 26.9 deg, intensity 76
- 27.8 deg, intensity 100
- 28.4 deg, intensity 47
- 28.7 deg, intensity 48
- 29.6 deg, intensity 23
- 30.3 deg, intensity 39
- 33.9 deg, intensity 24
- 50.2 deg, intensity 24

```
21
Lattice="7.735 0.000 0.000 0.000 10.582 0.000 -0.949 0.000 8.489" Properties=species:S:1:pos:R:3 pbc="T T T"
Rb 0.000 0.000 0.000
Rb 0.614 3.008 2.014
Rb 0.614 7.574 2.014
Rb 0.472 3.259 6.578
Rb 0.472 7.323 6.578
Rb 1.104 0.000 4.464
Rb 3.409 5.291 3.576
Rb 4.551 2.267 0.996
Rb 4.551 8.314 0.996
Rb 4.557 2.007 5.439
Rb 4.557 8.574 5.439
Rb 5.114 5.291 7.793
Li 3.362 0.000 2.935
Cl 2.731 5.291 0.453
Cl 2.309 0.000 7.423
Cl 6.067 0.000 2.946
Cl 6.703 5.291 4.113
O 2.790 1.767 3.234
O 2.790 8.815 3.234
O 6.048 2.642 7.943
O 6.048 7.939 7.943
```

---

[3]
Starting from the PBE geometry in the Materials Project, the X-ray powder pattern of LiSb3TeClO6 was simulated for Cu Kα X-rays.
Peak positions follow from Bragg's law for the DFT cell and can differ from measured ones.

The 10 most intense peaks (10 to 90 degrees two-theta), sorted by position:
- 10.5 deg, intensity 13
- 10.7 deg, intensity 100
- 10.9 deg, intensity 15
- 18.6 deg, intensity 21
- 21.1 deg, intensity 13
- 25.6 deg, intensity 20
- 27.5 deg, intensity 19
- 31.8 deg, intensity 13
- 32.5 deg, intensity 10
- 33.2 deg, intensity 13

```
12
Lattice="4.239 0.000 0.000 -1.513 9.367 0.000 -0.026 -4.473 8.435" Properties=species:S:1:pos:R:3 pbc="T T T"
Li 0.000 0.000 0.000
Sb 0.036 3.558 0.326
Sb 0.072 1.884 3.515
Sb 2.137 6.178 0.266
Te 2.335 3.398 5.740
Cl 2.113 0.499 0.616
O 0.043 3.436 2.297
O -0.016 3.105 5.204
O 0.037 5.588 0.265
O 2.145 2.197 4.037
O 2.154 4.179 0.357
O 2.045 1.706 6.677
```

---

[4]
Starting from the PBE geometry in the Materials Project, the X-ray powder pattern of LiSb3TeClO6 was simulated for Cu Kα X-rays.
Peak positions follow from Bragg's law for the DFT cell and can differ from measured ones.

The 10 most intense peaks (10 to 90 degrees two-theta), sorted by position:
- 10.9 deg, intensity 47
- 12.0 deg, intensity 48
- 13.4 deg, intensity 96
- 18.7 deg, intensity 74
- 22.3 deg, intensity 40
- 29.5 deg, intensity 100
- 29.7 deg, intensity 42
- 33.2 deg, intensity 40
- 35.6 deg, intensity 48
- 36.7 deg, intensity 38

```
12
Lattice="7.767 -2.091 0.000 7.767 2.091 0.000 -5.030 0.000 8.092" Properties=species:S:1:pos:R:3 pbc="T T T"
Li 0.000 0.000 0.000
Sb 1.594 0.000 2.481
Sb -1.502 0.000 7.528
Sb 4.967 0.000 5.184
Te 6.621 0.000 2.101
Cl 11.752 0.000 2.306
O -0.500 0.000 1.937
O -2.499 0.000 5.767
O 1.811 0.000 0.489
O 6.677 0.000 4.153
O 8.603 0.000 2.353
O 5.917 0.000 6.986
```